1.
# Ti10O11
Theoretical X-ray powder pattern, copper Kα. Input: DFT lattice parameters and positions (GGA-PBE).
Intensities are scaled so that the largest is 100.

Most intense lines, 5° ≤ 2θ ≤ 70°, by angle:
| two_theta | I_rel | index |
| --- | --- | --- |
| 35.6 | 39 | -2 2 2 |
| 36.7 | 33 | 1 2 0 |
| 36.9 | 27 | 2 -1 2 |
| 37.1 | 29 | 1 1 -4 |
| 41.8 | 94 | 0 1 4 |
| 42.6 | 100 | 1 -3 2 |
| 43.0 | 100 | 3 0 -2 |
| 60.0 | 28 | -1 4 2 |
| 60.9 | 27 | -3 1 6 |
| 61.3 | 28 | 4 -3 0 |
| 62.2 | 23 | 3 1 2 |
| 63.0 | 26 | 2 3 -4 |

Crystal structure
```
data_Ti10O11
_cell_length_a 6.7054
_cell_length_b 6.8038
_cell_length_c 10.4260
_cell_angle_alpha 94.79
_cell_angle_beta 105.58
_cell_angle_gamma 109.18
_space_group_name_H-M_alt 'P -1'
_space_group_IT_number 2
_space_group_name_Hall '-P 1'
loop_
_atom_site_label
_atom_site_type_symbol
_atom_site_fract_x
_atom_site_fract_y
_atom_site_fract_z
Ti1 Ti 0.0000 0.0000 0.0000
Ti2 Ti 0.0000 0.0000 0.5000
Ti3 Ti 0.0981 0.4688 0.1362
Ti4 Ti 0.1094 0.4693 0.6543
Ti5 Ti 0.1649 0.9099 0.7602
Ti6 Ti 0.2571 0.3410 0.3892
Ti7 Ti 0.2586 0.3616 0.8889
Ti8 Ti 0.3707 0.8080 0.0670
Ti9 Ti 0.3738 0.8168 0.5549
Ti10 Ti 0.4753 0.2798 0.2030
Ti11 Ti 0.4763 0.2832 0.6966
O1 O 0.0386 0.7145 0.5556
O2 O 0.0429 0.7346 0.0664
O3 O 0.1311 0.1821 0.6961
O4 O 0.1356 0.1780 0.1922
O5 O 0.2230 0.6290 0.3481
O6 O 0.2324 0.6629 0.8566
O7 O 0.3232 0.0932 0.9805
O8 O 0.3286 0.0988 0.4909
O9 O 0.4010 0.5224 0.5951
O10 O 0.4019 0.5150 0.0976
O11 O 0.4989 0.9987 0.2537
```


2.
# Ti3O5
Theoretical X-ray powder pattern, copper Kα. Input: DFT lattice parameters and positions (GGA-PBE).
Intensities are scaled so that the largest is 100.

Most intense lines, 5° ≤ 2θ ≤ 70°, by angle:
| two_theta | I_rel | index |
| --- | --- | --- |
| 17.9 | 38 | 0 2 0 |
| 25.1 | 100 | 1 1 0 |
| 32.2 | 70 | 0 2 3 |
| 36.1 | 17 | 1 3 0 |
| 36.9 | 19 | 1 1 3 |
| 40.2 | 15 | 0 2 4 |
| 40.6 | 25 | 0 4 2 |
| 45.5 | 19 | 0 4 3 |
| 47.9 | 36 | 2 0 0 |
| 51.6 | 17 | 1 3 4 |
| 55.4 | 23 | 1 5 2 |
| 58.9 | 34 | 2 2 3 |

Crystal structure
```
data_Ti3O5
_cell_length_a 3.7965
_cell_length_b 9.8953
_cell_length_c 10.0712
_cell_angle_alpha 90.00
_cell_angle_beta 90.00
_cell_angle_gamma 90.00
_space_group_name_H-M_alt 'C m c m'
_space_group_IT_number 63
_space_group_name_Hall '-C 2c 2'
loop_
_atom_site_label
_atom_site_type_symbol
_atom_site_fract_x
_atom_site_fract_y
_atom_site_fract_z
Ti1 Ti 0.0000 0.1306 0.0573
Ti2 Ti 0.0000 0.1983 0.7500
O1 O 0.0000 0.0515 0.6227
O2 O 0.0000 0.2325 0.2500
O3 O 0.0000 0.3171 0.5690
```


3.
# TiO
Theoretical X-ray powder pattern, copper Kα. Input: DFT lattice parameters and positions (GGA-PBE).
Intensities are scaled so that the largest is 100.

Most intense lines, 5° ≤ 2θ ≤ 70°, by angle:
| two_theta | I_rel | index |
| --- | --- | --- |
| 21.7 | 18 | 1 0 0 |
| 30.9 | 68 | 1 1 0 |
| 38.1 | 51 | 1 1 1 |
| 44.3 | 100 | 2 0 0 |
| 49.9 | 8 | 2 1 0 |
| 55.0 | 21 | 2 1 1 |
| 64.5 | 55 | 2 2 0 |
| 68.9 | 4 | 3 0 0 |

Crystal structure
```
data_TiO
_cell_length_a 4.0867
_cell_length_b 4.0867
_cell_length_c 4.0867
_cell_angle_alpha 90.00
_cell_angle_beta 90.00
_cell_angle_gamma 90.00
_space_group_name_H-M_alt 'P m -3 m'
_space_group_IT_number 221
_space_group_name_Hall '-P 4 2 3'
loop_
_atom_site_label
_atom_site_type_symbol
_atom_site_fract_x
_atom_site_fract_y
_atom_site_fract_z
Ti1 Ti 0.0000 0.0000 0.5000
O1 O 0.0000 0.5000 0.5000
```


4.
# Ti2O3
Theoretical X-ray powder pattern, copper Kα. Input: DFT lattice parameters and positions (GGA-PBE).
Intensities are scaled so that the largest is 100.

Most intense lines, 5° ≤ 2θ ≤ 70°, by angle:
| two_theta | I_rel | index |
| --- | --- | --- |
| 18.5 | 69 | 0 0 2 |
| 19.8 | 11 | 1 0 0 |
| 21.9 | 31 | 1 0 1 |
| 27.2 | 10 | 1 0 2 |
| 34.4 | 37 | 1 0 3 |
| 34.7 | 74 | 1 1 0 |
| 39.6 | 71 | 1 1 2 |
| 49.7 | 19 | 2 0 3 |
| 52.0 | 100 | 1 1 4 |
| 62.1 | 15 | 3 -1 3 |
| 62.2 | 42 | 3 0 0 |
| 65.5 | 10 | 3 0 2 |

Crystal structure
```
data_Ti2O3
_cell_length_a 5.1678
_cell_length_b 5.1678
_cell_length_c 9.6076
_cell_angle_alpha 90.00
_cell_angle_beta 90.00
_cell_angle_gamma 120.00
_space_group_name_H-M_alt 'P -3 1 c'
_space_group_IT_number 163
_space_group_name_Hall '-P 3 2c'
loop_
_atom_site_label
_atom_site_type_symbol
_atom_site_fract_x
_atom_site_fract_y
_atom_site_fract_z
Ti1 Ti 0.0000 0.0000 0.0000
Ti2 Ti 0.3333 0.6667 0.0235
Ti3 Ti 0.3333 0.6667 0.7500
O1 O 0.0259 0.3503 0.8836
```


5.
# TiO2
Theoretical X-ray powder pattern, copper Kα. Input: DFT lattice parameters and positions (GGA-PBE).
Intensities are scaled so that the largest is 100.

Most intense lines, 5° ≤ 2θ ≤ 70°, by angle:
| two_theta | I_rel | index |
| --- | --- | --- |
| 8.4 | 100 | 0 0 1 |
| 16.9 | 12 | 0 0 2 |
| 25.4 | 1 | 0 0 3 |
| 29.9 | 1 | 0 1 3 |
| 31.1 | 2 | 0 2 0 |
| 32.3 | 3 | 0 2 1 |
| 32.6 | 3 | 1 1 0 |
| 33.7 | 5 | 1 1 1 |
| 35.6 | 2 | 0 2 2 |
| 36.9 | 3 | 1 1 2 |
| 41.7 | 2 | 1 1 3 |
| 62.2 | 1 | 1 2 5 |

Crystal structure
```
data_TiO2
_cell_length_a 3.1327
_cell_length_b 5.7447
_cell_length_c 10.5172
_cell_angle_alpha 90.00
_cell_angle_beta 90.00
_cell_angle_gamma 90.00
_space_group_name_H-M_alt 'P m m 2'
_space_group_IT_number 25
_space_group_name_Hall 'P 2 -2'
loop_
_atom_site_label
_atom_site_type_symbol
_atom_site_fract_x
_atom_site_fract_y
_atom_site_fract_z
Ti1 Ti 0.0000 0.0000 0.0000
Ti2 Ti 0.5000 0.5000 0.0623
O1 O 0.0000 0.2695 0.0986
O2 O 0.5000 0.0000 0.9133
O3 O 0.5000 0.5000 0.9075
```


6.
# Ti3O5
Theoretical X-ray powder pattern, copper Kα. Input: DFT lattice parameters and positions (GGA-PBE).
Intensities are scaled so that the largest is 100.

Most intense lines, 5° ≤ 2θ ≤ 70°, by angle:
| two_theta | I_rel | index |
| --- | --- | --- |
| 20.5 | 26 | 2 0 1 |
| 24.9 | 100 | 1 1 0 |
| 28.7 | 27 | 0 0 3 |
| 37.9 | 14 | 4 0 1 |
| 41.0 | 52 | 4 0 -2 |
| 43.1 | 48 | 2 0 4 |
| 47.3 | 42 | 0 2 0 |
| 54.1 | 21 | 3 1 4 |
| 55.6 | 28 | 5 1 -2 |
| 62.1 | 21 | 2 0 -6 |
| 64.4 | 22 | 4 2 -2 |
| 65.9 | 21 | 2 2 4 |

Crystal structure
```
data_Ti3O5
_cell_length_a 9.8765
_cell_length_b 3.8424
_cell_length_c 9.3479
_cell_angle_alpha 90.00
_cell_angle_beta 91.05
_cell_angle_gamma 90.00
_space_group_name_H-M_alt 'C 1 2/m 1'
_space_group_IT_number 12
_space_group_name_Hall '-C 2y'
loop_
_atom_site_label
_atom_site_type_symbol
_atom_site_fract_x
_atom_site_fract_y
_atom_site_fract_z
Ti1 Ti 0.0545 0.0000 0.3609
Ti2 Ti 0.1296 0.0000 0.0463
Ti3 Ti 0.2187 0.0000 0.7362
O1 O 0.0434 0.0000 0.8474
O2 O 0.0898 0.5000 0.3416
O3 O 0.1289 0.0000 0.5570
O4 O 0.1760 0.5000 0.0548
O5 O 0.2415 0.0000 0.2441
```